Theoretical PXRD pattern of Li6Ga3Ag for CuKα, from a crystal structure in Alexandria, relaxed with PBE.

Principal peaks in the range 2θ from 5° to 70°, low angle first:
2θ/deg, Rel. int., hkl
19.01, 14, 1 0 0
21.82, 100, 1 1 -1
22.28, 48, 0 2 0
24.36, 11, 0 2 1
38.68, 9, 2 1 -1
38.82, 24, 1 3 -1
39.66, 15, 0 0 4
41.46, 26, 1 1 3
45.94, 19, 0 2 4
49.69, 8, 1 1 -5

Atomic structure:
```
Li6Ga3Ag
1.0
4.870 0.000 0.000
0.000 7.981 0.000
-2.700 0.000 9.090
Li Ga Ag
12 6 2
Direct
0.033 0.168 0.046
0.033 0.332 0.546
0.355 0.715 0.803
0.355 0.785 0.303
0.393 0.128 0.376
0.393 0.372 0.876
0.607 0.628 0.124
0.607 0.872 0.624
0.645 0.215 0.697
0.645 0.285 0.197
0.967 0.668 0.454
0.967 0.832 0.954
0.148 0.065 0.769
0.148 0.435 0.269
0.500 0.000 0.000
0.500 0.500 0.500
0.852 0.565 0.731
0.852 0.935 0.231
0.000 0.000 0.500
0.000 0.500 0.000
```